Calculated X-ray powder pattern of Pr2AgSb for Cu Kα X-rays, from a DFT-relaxed cell (GGA-PBE, Alexandria).
Intensities are scaled so that the largest is 100.

Main lines, by angle (2θ = 10–90°):
2θ 29.37, intensity 89; 2θ 29.54, intensity 100; 2θ 29.81, intensity 53; 2θ 35.93, intensity 55; 2θ 36.22, intensity 62; 2θ 36.64, intensity 56

Cell and atoms:
```
Pr2AgSb
1.0
6.408 0.000 0.000
0.000 4.528 0.000
-3.072 0.000 8.126
Pr Ag Sb
4 2 2
Direct
0.213 0.250 0.416 Pr
0.214 0.250 0.937 Pr
0.786 0.750 0.063 Pr
0.787 0.750 0.584 Pr
0.346 0.750 0.209 Ag
0.654 0.250 0.791 Ag
0.328 0.750 0.704 Sb
0.672 0.250 0.296 Sb
```